Diffraction record for Sr2Zn2BiPd5. The XRD peak list is theoretical, not measured: it uses a GGA-PBE-relaxed structure and Cu Kα (weighted mean of Kα1 and Kα2).
Intensities are scaled so that the largest is 100.

Top 8 peaks for 2θ = 10–90°, sorted by position:
34.01 deg, d 2.636, rel. 37
36.13 deg, d 2.486, rel. 34
36.26 deg, d 2.477, rel. 100
39.30 deg, d 2.292, rel. 26
39.43 deg, d 2.285, rel. 34
47.33 deg, d 1.921, rel. 22
60.95 deg, d 1.520, rel. 14
69.27 deg, d 1.356, rel. 15

Atomic structure:
Cell: 10.252 10.252 3.841 Å, 90.00 90.00 90.00°
Fractional positions:
Sr  0.179  0.321  0.000
Sr  0.321  0.821  0.000
Sr  0.679  0.179  0.000
Sr  0.821  0.679  0.000
Zn  0.116  0.616  0.000
Zn  0.384  0.116  0.000
Zn  0.616  0.884  0.000
Zn  0.884  0.384  0.000
Bi  0.000  0.000  0.000
Bi  0.500  0.500  0.000
Pd  0.000  0.500  0.500
Pd  0.067  0.782  0.500
Pd  0.218  0.067  0.500
Pd  0.282  0.567  0.500
Pd  0.433  0.282  0.500
Pd  0.500  0.000  0.500
Pd  0.567  0.718  0.500
Pd  0.718  0.433  0.500
Pd  0.782  0.933  0.500
Pd  0.933  0.218  0.500